[1]
Structure and computed X-ray diffraction stick pattern of Na11TiNb2Si4P2O25F (a PBE-relaxed structure; Cu Kα (weighted mean of Kα1 and Kα2)).

Cell and atoms:
```
Na11TiNb2Si4P2O25F
1.0
5.5833 0.0000 0.0000
-0.0925 7.2415 0.0000
-1.4014 -0.6563 14.5956
Na Ti Nb Si P O F
11 1 2 4 2 25 1
direct
0.0000 0.0000 0.0000
0.0055 0.5252 0.9946
0.2202 0.7506 0.2353
0.2677 0.0246 0.4236
0.3195 0.2539 0.6345
0.3300 0.7784 0.6026
0.5098 0.2621 0.0004
0.6969 0.7431 0.3984
0.7063 0.2673 0.3665
0.7584 0.4970 0.5769
0.8035 0.7702 0.7667
0.4845 0.7615 0.0086
0.2123 0.2684 0.2164
0.8138 0.2516 0.7840
0.3141 0.9654 0.8162
0.3316 0.5417 0.8051
0.6960 0.9795 0.1970
0.7133 0.5554 0.1845
0.2016 0.5047 0.4336
0.8254 0.0161 0.5675
0.0514 0.0474 0.7821
0.0829 0.4341 0.7596
0.1000 0.0177 0.5587
0.1898 0.2453 0.0935
0.2494 0.7574 0.0762
0.2623 0.3304 0.3713
0.2797 0.6883 0.3921
0.3091 0.7544 0.7657
0.3413 0.4885 0.5300
0.3530 0.9593 0.9264
0.3538 0.5521 0.9160
0.4612 0.0618 0.2451
0.4988 0.4445 0.2277
0.5264 0.0761 0.7718
0.5663 0.4591 0.7569
0.6719 0.9700 0.0859
0.6759 0.5639 0.0742
0.6845 0.0327 0.4715
0.7192 0.7661 0.2358
0.7475 0.8330 0.6095
0.7660 0.1910 0.6300
0.8320 0.2716 0.9072
0.9267 0.5033 0.4422
0.9447 0.0861 0.2428
0.9745 0.4720 0.2193
0.7848 0.7639 0.9220
```

Main lines, by angle (2θ from 10° to 80°):
12.13°, I 54
16.86°, I 63
17.63°, I 50
20.60°, I 100
29.78°, I 51
30.62°, I 96
31.92°, I 87
32.21°, I 86
33.22°, I 73
33.59°, I 45



[2]
Structure and computed X-ray diffraction stick pattern of Pm7Pr4Th (a PBE-relaxed structure; Cu Kα (weighted mean of Kα1 and Kα2)).

Cell and atoms:
```
Pm7Pr4Th
1.0
6.3940 0.0000 0.0000
-0.0138 7.3712 0.0000
-2.1406 -0.0126 8.9167
Pm Pr Th
7 4 1
direct
0.0000 0.0000 0.0000
0.2162 0.4999 0.6742
0.2752 0.7451 0.3267
0.5001 0.2562 0.9994
0.4999 0.7438 0.0006
0.7248 0.2549 0.6733
0.7838 0.5001 0.3258
0.2231 0.9999 0.6653
0.2764 0.2554 0.3280
0.7236 0.7446 0.6720
0.7769 0.0001 0.3347
0.0000 0.5000 0.0000
```

Main lines, by angle (2θ from 10° to 80°):
28.13°, I 38
30.07°, I 48
31.02°, I 100
32.65°, I 80
49.40°, I 24
52.90°, I 16
56.09°, I 16
58.90°, I 28
59.01°, I 14
59.50°, I 16



[3]
Structure and computed X-ray diffraction stick pattern of CaAl2Pb2Au7 (a PBE-relaxed structure; Cu Kα (weighted mean of Kα1 and Kα2)).

Cell and atoms:
```
CaAl2Pb2Au7
1.0
3.3659 -3.0624 0.0000
3.3659 3.0624 0.0000
-1.6939 0.0000 12.7593
Ca Al Pb Au
1 2 2 7
direct
0.0000 0.0000 0.0000
0.4411 0.4411 0.7497
0.5589 0.5589 0.2503
0.0633 0.0633 0.3549
0.9367 0.9367 0.6451
0.0371 0.5368 0.1581
0.3391 0.3391 0.5573
0.4632 0.9629 0.8419
0.5000 0.5000 0.0000
0.5368 0.0371 0.1581
0.6609 0.6609 0.4427
0.9629 0.4632 0.8419
```

Main lines, by angle (2θ from 10° to 80°):
30.01°, I 39
31.84°, I 100
32.43°, I 24
35.89°, I 35
36.14°, I 54
36.34°, I 21
39.96°, I 82
47.24°, I 21
67.17°, I 21
69.97°, I 22